[1]
Structure and calculated powder XRD pattern of Ba2NbNO3 (a crystal structure in Alexandria, relaxed with GGA-PBE; CuKα).
Peak positions follow from Bragg's law for the DFT cell and can differ from measured ones.

Largest 8 diffraction maxima, in order of rising 2θ, 2θ = 15–90°:
2θ/deg, I/Imax
29.11, 1000
30.37, 636
40.52, 157
43.49, 312
50.80, 169
53.19, 376
60.34, 138
63.15, 154

Structural model:
Lattice parameters (Å, degrees): 7.4179 7.4179 7.4179 147.43 147.40 46.75
Fractional positions:
Ba 0.1449 0.1449 0.0000
Ba 0.8551 0.8551 0.0000
Nb 0.5000 0.5000 0.0000
N 0.0000 0.5000 0.5000
O 0.3478 0.3478 0.0000
O 0.5000 0.0000 0.5000
O 0.6522 0.6522 0.0000

***

[2]
Structure and calculated powder XRD pattern of BaSm2NbN4 (a crystal structure in Alexandria, relaxed with GGA-PBE; CuKα).
Peak positions follow from Bragg's law for the DFT cell and can differ from measured ones.

Largest 8 diffraction maxima, in order of rising 2θ, 2θ = 15–90°:
2θ/deg, I/Imax
25.68, 314
27.87, 419
28.83, 654
29.69, 1000
33.49, 351
35.83, 631
49.61, 243
59.71, 298

Structural model:
Lattice parameters (Å, degrees): 6.6473 6.6473 12.3843 90.00 90.00 148.81
Fractional positions:
Ba 0.0889 0.9111 0.7500
Ba 0.9111 0.0889 0.2500
Sm 0.3716 0.6284 0.5354
Sm 0.3716 0.6284 0.9646
Sm 0.6284 0.3716 0.0354
Sm 0.6284 0.3716 0.4646
Nb 0.1738 0.8262 0.2500
Nb 0.8262 0.1738 0.7500
N 0.0000 0.0000 0.0000
N 0.0000 0.0000 0.5000
N 0.2569 0.7431 0.1194
N 0.2569 0.7431 0.3806
N 0.4083 0.5917 0.7500
N 0.5917 0.4083 0.2500
N 0.7431 0.2569 0.6194
N 0.7431 0.2569 0.8806

***

[3]
Structure and calculated powder XRD pattern of Ba2NdOs2N6 (a crystal structure in Alexandria, relaxed with GGA-PBE; CuKα).
Peak positions follow from Bragg's law for the DFT cell and can differ from measured ones.

Largest 8 diffraction maxima, in order of rising 2θ, 2θ = 15–90°:
2θ/deg, I/Imax
28.75, 1000
29.05, 965
41.33, 396
50.74, 185
51.31, 412
51.50, 201
67.60, 183
68.07, 174

Structural model:
Lattice parameters (Å, degrees): 7.2946 7.2946 7.2946 49.84 49.84 49.84
Fractional positions:
Ba 0.2129 0.2129 0.2129
Ba 0.7871 0.7871 0.7871
Nd 0.0000 0.0000 0.0000
Os 0.4034 0.4034 0.4034
Os 0.5966 0.5966 0.5966
N 0.2500 0.7432 0.7432
N 0.2568 0.2568 0.7500
N 0.2568 0.7500 0.2568
N 0.7432 0.2500 0.7432
N 0.7432 0.7432 0.2500
N 0.7500 0.2568 0.2568

***

[4]
Structure and calculated powder XRD pattern of Ba3NdP2N6 (a crystal structure in Alexandria, relaxed with GGA-PBE; CuKα).
Peak positions follow from Bragg's law for the DFT cell and can differ from measured ones.

Largest 8 diffraction maxima, in order of rising 2θ, 2θ = 15–90°:
2θ/deg, I/Imax
20.75, 227
29.46, 932
29.56, 1000
36.31, 173
42.22, 464
52.30, 554
69.35, 176
84.58, 208

Structural model:
Lattice parameters (Å, degrees): 6.0642 6.0642 7.3892 90.00 90.00 120.00
Fractional positions:
Ba 0.0000 0.0000 0.0000
Ba 0.3333 0.6667 0.6989
Ba 0.6667 0.3333 0.3011
Nd 0.0000 0.0000 0.5000
P 0.3333 0.6667 0.2618
P 0.6667 0.3333 0.7382
N 0.1822 0.3643 0.2900
N 0.1822 0.8178 0.2900
N 0.3643 0.1822 0.7100
N 0.6357 0.8178 0.2900
N 0.8178 0.1822 0.7100
N 0.8178 0.6357 0.7100

***

[5]
Structure and calculated powder XRD pattern of BaNdTaN3 (a crystal structure in Alexandria, relaxed with GGA-PBE; CuKα).
Peak positions follow from Bragg's law for the DFT cell and can differ from measured ones.

Largest 8 diffraction maxima, in order of rising 2θ, 2θ = 15–90°:
2θ/deg, I/Imax
29.54, 1000
30.17, 437
30.60, 436
31.64, 974
40.32, 267
44.15, 250
52.41, 207
54.68, 222

Structural model:
Lattice parameters (Å, degrees): 7.2589 7.2589 7.8091 104.84 104.84 32.83
Fractional positions:
Ba 0.1473 0.1473 0.0749
Ba 0.8527 0.8527 0.9251
Nd 0.1576 0.1576 0.5789
Nd 0.8424 0.8424 0.4211
Ta 0.4980 0.4980 0.6959
Ta 0.5020 0.5020 0.3041
N 0.0049 0.0049 0.3130
N 0.3428 0.3428 0.6533
N 0.3526 0.3526 0.2010
N 0.6474 0.6474 0.7990
N 0.6572 0.6572 0.3467
N 0.9951 0.9951 0.6870

***

[6]
Structure and calculated powder XRD pattern of BaNd2TiN4 (a crystal structure in Alexandria, relaxed with GGA-PBE; CuKα).
Peak positions follow from Bragg's law for the DFT cell and can differ from measured ones.

Largest 8 diffraction maxima, in order of rising 2θ, 2θ = 15–90°:
2θ/deg, I/Imax
25.87, 622
28.17, 514
29.04, 486
29.43, 1000
33.35, 407
35.74, 688
45.07, 268
49.68, 272

Structural model:
Lattice parameters (Å, degrees): 6.5894 6.5894 12.3092 90.00 90.00 148.03
Fractional positions:
Ba 0.0988 0.9012 0.7500
Ba 0.9012 0.0988 0.2500
Nd 0.3701 0.6299 0.5393
Nd 0.3701 0.6299 0.9607
Nd 0.6299 0.3701 0.0393
Nd 0.6299 0.3701 0.4607
Ti 0.1727 0.8273 0.2500
Ti 0.8273 0.1727 0.7500
N 0.0000 0.0000 0.0000
N 0.0000 0.0000 0.5000
N 0.2572 0.7428 0.1237
N 0.2572 0.7428 0.3763
N 0.4011 0.5989 0.7500
N 0.5989 0.4011 0.2500
N 0.7428 0.2572 0.6237
N 0.7428 0.2572 0.8763

***

[7]
Structure and calculated powder XRD pattern of BaNi2N2 (a crystal structure in Alexandria, relaxed with GGA-PBE; CuKα).
Peak positions follow from Bragg's law for the DFT cell and can differ from measured ones.

Largest 8 diffraction maxima, in order of rising 2θ, 2θ = 15–90°:
2θ/deg, I/Imax
28.83, 1000
33.89, 160
35.48, 297
41.33, 168
46.27, 353
63.64, 160
63.75, 194
67.51, 136

Structural model:
Lattice parameters (Å, degrees): 6.1926 6.1926 6.1926 119.85 119.85 90.26
Fractional positions:
Ba 0.2500 0.2500 0.0000
Ba 0.7500 0.7500 0.0000
Ni 0.1302 0.6302 0.7604
Ni 0.3698 0.1302 0.5000
Ni 0.6302 0.8698 0.5000
Ni 0.8698 0.3698 0.2396
N 0.1681 0.3319 0.5000
N 0.3319 0.8319 0.1637
N 0.6681 0.1681 0.8363
N 0.8319 0.6681 0.5000

***

[8]
Structure and calculated powder XRD pattern of BaNp2NiN4 (a crystal structure in Alexandria, relaxed with GGA-PBE; CuKα).
Peak positions follow from Bragg's law for the DFT cell and can differ from measured ones.

Largest 8 diffraction maxima, in order of rising 2θ, 2θ = 15–90°:
2θ/deg, I/Imax
27.82, 1000
30.50, 564
30.69, 888
35.14, 349
35.42, 311
37.75, 650
52.60, 490
53.01, 285

Structural model:
Lattice parameters (Å, degrees): 6.1209 6.1209 11.4931 90.00 90.00 146.49
Fractional positions:
Ba 0.0984 0.9016 0.7500
Ba 0.9016 0.0984 0.2500
Np 0.3679 0.6321 0.5570
Np 0.3679 0.6321 0.9430
Np 0.6321 0.3679 0.0570
Np 0.6321 0.3679 0.4430
Ni 0.1717 0.8283 0.2500
Ni 0.8283 0.1717 0.7500
N 0.0000 0.0000 0.0000
N 0.0000 0.0000 0.5000
N 0.2505 0.7495 0.0974
N 0.2505 0.7495 0.4026
N 0.4110 0.5890 0.7500
N 0.5890 0.4110 0.2500
N 0.7495 0.2505 0.5974
N 0.7495 0.2505 0.9026